(1)
Structure and simulated powder X-ray diffraction pattern of Cu6Pt2Rh (a GGA-PBE-relaxed structure; a wavelength of 1.5418 Å).

Most intense lines, 2θ from 15° to 90°, sorted by position:
| Position (°2θ) | d_spacing | I_rel |
| --- | --- | --- |
| 24.56 | 3.624 | 42 |
| 42.53 | 2.126 | 83 |
| 42.63 | 2.121 | 41 |
| 43.24 | 2.092 | 100 |
| 62.23 | 1.492 | 26 |
| 62.40 | 1.488 | 13 |
| 78.75 | 1.215 | 20 |
| 78.89 | 1.213 | 13 |
| 79.31 | 1.208 | 16 |
| 87.78 | 1.112 | 13 |

Cell and atoms:
```
Cu6Pt2Rh
1.0
3.3474 -3.6260 0.0000
3.3474 3.6260 0.0000
-0.5536 0.0000 4.9130
Cu Pt Rh
6 2 1
direct
0.1664 0.5001 0.3340
0.1663 0.8337 0.0000
0.5001 0.1664 0.3340
0.4999 0.8336 0.6660
0.8337 0.1663 0.0000
0.8336 0.4999 0.6660
0.3309 0.3309 0.8312
0.6691 0.6691 0.1688
0.0000 0.0000 0.5000
```

---

(2)
Structure and simulated powder X-ray diffraction pattern of Al8Zn6Ag (a GGA-PBE-relaxed structure; a wavelength of 1.5418 Å).

Most intense lines, 2θ from 15° to 90°, sorted by position:
| Position (°2θ) | d_spacing | I_rel |
| --- | --- | --- |
| 16.13 | 5.494 | 28 |
| 21.36 | 4.159 | 15 |
| 29.23 | 3.055 | 43 |
| 32.52 | 2.753 | 20 |
| 41.00 | 2.201 | 100 |
| 42.60 | 2.122 | 56 |
| 45.84 | 1.980 | 20 |
| 60.62 | 1.527 | 16 |
| 69.83 | 1.347 | 12 |
| 76.90 | 1.240 | 15 |

Cell and atoms:
```
Al8Zn6Ag
1.0
7.3511 0.0000 0.0000
-3.6756 6.3663 0.0000
0.0000 0.0000 5.4938
Al Zn Ag
8 6 1
direct
0.0000 0.0000 0.0000
0.0208 0.4105 0.7915
0.2402 0.2333 0.6004
0.3333 0.6667 0.4601
0.3897 0.9792 0.7915
0.5895 0.6103 0.7915
0.7667 0.0069 0.6004
0.9931 0.7598 0.6004
0.0011 0.3223 0.2773
0.3212 0.9989 0.2773
0.3514 0.3486 0.1183
0.6514 0.0029 0.1183
0.6777 0.6788 0.2773
0.9971 0.6486 0.1183
0.6667 0.3333 0.5045
```